Diffraction record for Ta3SeI7. The X-ray diffraction stick pattern is calculated, not measured: it uses a crystal structure in the Materials Project, relaxed with GGA-PBE and Cu Kα.
Peak positions follow from Bragg's law for the DFT cell and can differ from measured ones.

Principal peaks in the range 15° ≤ 2θ ≤ 90°, sorted by position:
index	2θ (°)	I (rel.)
2 0 1	27.59	37
2 0 2	29.55	100
2 0 3	32.55	81
2 0 4	36.40	40
2 0 5	40.85	50
2 2 0	47.58	44

Cell and atoms:
Cell: 7.6437 7.6437 14.8359 Å, 90.00 90.00 120.00°
Element x y z (fractional)
Ta: 0.1298 0.2595 0.0000
Ta: 0.1298 0.8702 0.0000
Ta: 0.2595 0.1298 0.5000
Ta: 0.7405 0.8702 0.0000
Ta: 0.8702 0.1298 0.5000
Ta: 0.8702 0.7405 0.5000
Se: 0.0000 0.0000 0.1274
Se: 0.0000 0.0000 0.6274
I: 0.0041 0.5021 0.6042
I: 0.1678 0.3356 0.3736
I: 0.1678 0.8322 0.3736
I: 0.3333 0.6667 0.9038
I: 0.3356 0.1678 0.8736
I: 0.4979 0.5021 0.6042
I: 0.4979 0.9959 0.6042
I: 0.5021 0.0041 0.1042
I: 0.5021 0.4979 0.1042
I: 0.6644 0.8322 0.3736
I: 0.6667 0.3333 0.4038
I: 0.8322 0.1678 0.8736
I: 0.8322 0.6644 0.8736
I: 0.9959 0.4979 0.1042